Structure and computed powder XRD pattern of CsNaInF6 (a cell relaxed with PBE; λ = 1.5418 Å (Cu Kα)).
Kinematic intensities with the Lorentz-polarization factor, no thermal factor.

Largest 10 diffraction maxima, by angle, 2θ from 10° to 80°:
15.10 deg, rel. 20; 22.37 deg, rel. 33; 24.58 deg, rel. 24; 25.88 deg, rel. 57; 26.30 deg, rel. 100; 26.72 deg, rel. 20; 28.03 deg, rel. 28; 44.07 deg, rel. 21; 45.64 deg, rel. 54; 52.36 deg, rel. 18

```
CsNaInF6
1.0
-3.6222 4.0557 5.8689
3.6222 -4.0557 5.8689
3.6222 4.0557 -5.8689
Cs Na In F
2 2 2 12
direct
0.3812 0.1312 0.2500
0.6188 0.8688 0.7500
0.0000 0.0000 0.5000
0.0000 0.5000 0.0000
0.0000 0.5000 0.5000
0.5000 0.5000 0.0000
0.0824 0.4219 0.2575
0.0824 0.8249 0.6604
0.1253 0.8753 0.2500
0.3085 0.5585 0.7500
0.3355 0.1751 0.7575
0.3355 0.5781 0.1604
0.6645 0.4219 0.8396
0.6645 0.8249 0.2425
0.6915 0.4415 0.2500
0.8747 0.1247 0.7500
0.9176 0.1751 0.3396
0.9176 0.5781 0.7425
```